Computed powder X-ray diffraction pattern of CaVCu3Se4 for Cu Kα (weighted mean of Kα1 and Kα2), from a structure optimized by DFT (PBE).
Peak positions follow from Bragg's law for the DFT cell and can differ from measured ones.

Structure:
```
data_CaVCu3Se4
_chemical_formula_sum 'Ca1 V1 Cu3 Se4'
_symmetry_space_group_name_H-M 'P -4 3 m'
_symmetry_Int_Tables_number 215
_symmetry_space_group_name_Hall 'P -4 2 3'
_cell_length_a 5.9531
_cell_length_b 5.9531
_cell_length_c 5.9531
_cell_angle_alpha 90.00
_cell_angle_beta 90.00
_cell_angle_gamma 90.00
loop_
_atom_site_label
_atom_site_fract_x
_atom_site_fract_y
_atom_site_fract_z
_atom_site_occupancy
Ca1 0.0000 0.0000 0.0000 1
V1 0.5000 0.5000 0.5000 1
Cu1 0.0000 0.5000 0.5000 1
Se1 0.2680 0.2680 0.7320 1
```

Peak list (12 most intense, 2θ from 10° to 90°, by angle)
2θ (°), I (rel.), hkl
14.88, 26, 1 0 0
25.92, 100, 1 1 1
36.99, 4, 2 1 1
42.97, 99, 2 2 0
45.72, 6, 2 2 1
50.87, 42, 3 1 1
55.67, 8, 3 2 0
62.40, 15, 4 0 0
68.73, 15, 3 3 1
78.75, 28, 4 2 2
84.58, 11, 3 3 3
88.43, 5, 4 3 2